No. 1
Computed X-ray powder pattern of CuHg3F4 for Cu Ka, from the PBE geometry in Alexandria.
Lines closer than 0.1° are merged.

Most intense lines, 2θ from 10° to 90°, in order of rising 2θ:
d [Å]	2θ (°)	I (rel.)	h k l
6.893	12.8	37	0 1 0
3.505	25.4	54	1 0 1
3.447	25.8	45	0 2 0
3.297	27.0	45	1 2 0
3.251	27.4	100	0 1 1
2.827	31.6	81	4 0 0
2.818	31.7	72	2 1 1
2.518	35.7	77	0 2 1
2.133	42.4	68	4 1 1
1.880	48.4	46	4 2 1

Structure:
```
data_CuHg3F4
_chemical_formula_sum 'Cu2 Hg6 F8'
_cell_length_a 11.309
_cell_length_b 6.893
_cell_length_c 3.687
_cell_angle_alpha 90.00
_cell_angle_beta 90.00
_cell_angle_gamma 90.00
_space_group_name_H-M_alt 'P m n 21'
_space_group_IT_number 31
loop_
_space_group_symop_operation_xyz
'x,y,z'
'-x+1/2,-y,z+1/2'
'-x,y,z'
'x+1/2,-y,z+1/2'
loop_
_atom_site_label
_atom_site_type_symbol
_atom_site_fract_x
_atom_site_fract_y
_atom_site_fract_z
Cu1 Cu 0.000 0.123 0.000
Hg1 Hg 0.000 0.648 0.890
Hg2 Hg 0.231 0.698 0.031
F1 F 0.000 0.317 0.613
F2 F 0.000 0.938 0.394
F3 F 0.169 0.128 0.000
```



No. 2
Computed X-ray powder pattern of CeY2PaTc2 for Cu Ka, from the PBE geometry in Alexandria.
Lines closer than 0.1° are merged.

Most intense lines, 2θ from 10° to 90°, in order of rising 2θ:
d [Å]	2θ (°)	I (rel.)	h k l
6.693	13.2	100	0 2 0
6.120	14.5	26	1 1 0
3.060	29.2	55	2 2 0
3.020	29.6	56	0 2 2
2.750	32.6	53	1 4 1
2.413	37.3	90	2 0 2
2.399	37.5	39	2 4 0
2.379	37.8	38	0 4 2
2.270	39.7	31	2 2 2
1.872	48.6	17	2 6 0

Structure:
```
data_CeY2PaTc2
_chemical_formula_sum 'Ce4 Y8 Pa4 Tc8'
_cell_length_a 6.881
_cell_length_b 13.386
_cell_length_c 6.767
_cell_angle_alpha 90.00
_cell_angle_beta 90.00
_cell_angle_gamma 90.00
_space_group_name_H-M_alt 'I b a m'
_space_group_IT_number 72
_space_group_name_Hall '-I 2 2c'
loop_
_atom_site_label
_atom_site_type_symbol
_atom_site_fract_x
_atom_site_fract_y
_atom_site_fract_z
Ce1 Ce 0.000 0.000 0.250
Y1 Y 0.212 0.308 0.000
Pa1 Pa 0.000 0.500 0.250
Tc1 Tc 0.227 0.408 0.500
```



No. 3
Computed X-ray powder pattern of Mg4HgRh for Cu Ka, from the PBE geometry in Alexandria.
Lines closer than 0.1° are merged.

Most intense lines, 2θ from 10° to 90°, in order of rising 2θ:
d [Å]	2θ (°)	I (rel.)	h k l
4.934	18.0	90	1 1 -1
3.934	22.6	93	0 2 1
3.711	24.0	89	2 0 0
3.536	25.2	100	1 3 0
3.243	27.5	65	2 2 -1
2.634	34.0	45	3 1 -1
2.361	38.1	61	2 2 1
2.316	38.9	63	1 3 -2
2.295	39.3	48	1 5 0
1.922	47.3	63	4 0 -2

Structure:
```
data_Mg4HgRh
_chemical_formula_sum 'Mg16 Hg4 Rh4'
_cell_length_a 8.120
_cell_length_b 12.065
_cell_length_c 5.678
_cell_angle_alpha 90.00
_cell_angle_beta 113.94
_cell_angle_gamma 90.00
_space_group_name_H-M_alt 'C 1 2/c 1'
_space_group_IT_number 15
loop_
_space_group_symop_operation_xyz
'x,y,z'
'-x,-y,-z'
'-x,y,-z+1/2'
'x,-y,z+1/2'
'x+1/2,y+1/2,z'
'-x+1/2,-y+1/2,-z'
'-x+1/2,y+1/2,-z+1/2'
'x+1/2,-y+1/2,z+1/2'
loop_
_atom_site_label
_atom_site_type_symbol
_atom_site_fract_x
_atom_site_fract_y
_atom_site_fract_z
Mg1 Mg 0.108 0.174 0.066
Mg2 Mg 0.219 0.424 0.339
Hg1 Hg 0.000 0.372 0.750
Rh1 Rh 0.000 0.002 0.250
```



No. 4
Computed X-ray powder pattern of Li3Er2Au4 for Cu Ka, from the PBE geometry in Alexandria.
Lines closer than 0.1° are merged.

Most intense lines, 2θ from 10° to 90°, in order of rising 2θ:
d [Å]	2θ (°)	I (rel.)	h k l
3.817	23.3	50	0 0 2
3.804	23.4	22	1 -1 1
3.460	25.7	26	1 0 1
3.418	26.1	18	0 1 -2
2.638	34.0	28	0 1 2
2.609	34.4	68	1 1 -1
2.291	39.3	100	2 -1 0
2.286	39.4	65	1 -1 3
2.263	39.8	26	0 2 -2
1.730	52.9	16	2 0 2

Structure:
```
data_Li3Er2Au4
_chemical_formula_sum 'Li3 Er2 Au4'
_cell_length_a 4.583
_cell_length_b 5.327
_cell_length_c 7.915
_cell_angle_alpha 103.48
_cell_angle_beta 90.04
_cell_angle_gamma 115.35
_space_group_name_H-M_alt 'P -1'
_space_group_IT_number 2
loop_
_space_group_symop_operation_xyz
'x,y,z'
'-x,-y,-z'
loop_
_atom_site_label
_atom_site_type_symbol
_atom_site_fract_x
_atom_site_fract_y
_atom_site_fract_z
Li1 Li 0.000 0.000 0.000
Li2 Li 0.369 0.738 0.468
Er1 Er 0.250 0.501 0.790
Au1 Au 0.084 0.166 0.361
Au2 Au 0.430 0.860 0.154
```



Question: Which formula does entry 4 have?
Answer: Li3Er2Au4